The following is a simulated powder diffraction line list of ZrMo2O8. It was derived from a GGA+U-relaxed structure, using copper Kα.
Peak positions follow from Bragg's law for the DFT cell and can differ from measured ones.

Crystal structure
```
data_ZrMo2O8
_chemical_formula_sum 'Zr1 Mo2 O8'
_symmetry_space_group_name_H-M 'P 1'
_symmetry_Int_Tables_number 1
_cell_length_a 6.209
_cell_length_b 6.209
_cell_length_c 5.064
_cell_angle_alpha 99.27
_cell_angle_beta 99.27
_cell_angle_gamma 60.59
loop_
_symmetry_equiv_pos_as_xyz
'x,y,z'
loop_
_atom_site_label
_atom_site_type_symbol
_atom_site_fract_x
_atom_site_fract_y
_atom_site_fract_z
_atom_site_occupancy
Zr1 Zr 0.000 0.000 0.000 1
Mo1 Mo 0.321 0.321 0.867 1
Mo2 Mo 0.679 0.679 0.133 1
O1 O 0.147 0.147 0.767 1
O2 O 0.148 0.642 0.778 1
O3 O 0.348 0.348 0.212 1
O4 O 0.358 0.852 0.222 1
O5 O 0.642 0.148 0.778 1
O6 O 0.652 0.652 0.788 1
O7 O 0.852 0.358 0.222 1
O8 O 0.853 0.853 0.233 1
```

Most intense lines, 5 to 70 degrees two-theta, most intense first:
17.83 deg, rel. 1000
29.16 deg, rel. 772
31.72 deg, rel. 494
28.50 deg, rel. 422
25.51 deg, rel. 373
36.93 deg, rel. 358
33.82 deg, rel. 320
41.41 deg, rel. 261
47.34 deg, rel. 170
23.16 deg, rel. 164

=====

The following is a simulated powder diffraction line list of ZrMo2O11. It was derived from a GGA+U-relaxed structure, using copper Kα.
Peak positions follow from Bragg's law for the DFT cell and can differ from measured ones.

Crystal structure
```
data_ZrMo2O11
_chemical_formula_sum 'Zr4 Mo8 O44'
_symmetry_space_group_name_H-M 'P 1'
_symmetry_Int_Tables_number 1
_cell_length_a 10.529
_cell_length_b 10.529
_cell_length_c 10.529
_cell_angle_alpha 110.89
_cell_angle_beta 110.89
_cell_angle_gamma 106.67
loop_
_symmetry_equiv_pos_as_xyz
'x,y,z'
loop_
_atom_site_label
_atom_site_type_symbol
_atom_site_fract_x
_atom_site_fract_y
_atom_site_fract_z
_atom_site_occupancy
Zr1 Zr 0.000 0.000 0.000 1
Zr2 Zr 0.250 0.750 0.500 1
Zr3 Zr 0.500 0.500 0.000 1
Zr4 Zr 0.750 0.250 0.500 1
Mo1 Mo 0.183 0.544 0.710 1
Mo2 Mo 0.223 0.433 0.139 1
Mo3 Mo 0.294 0.084 0.861 1
Mo4 Mo 0.334 0.044 0.361 1
Mo5 Mo 0.683 0.973 0.639 1
Mo6 Mo 0.723 0.584 0.790 1
Mo7 Mo 0.794 0.933 0.210 1
Mo8 Mo 0.834 0.473 0.290 1
O1 O 0.003 0.671 0.346 1
O2 O 0.072 0.572 0.500 1
O3 O 0.092 0.436 0.987 1
O4 O 0.125 0.243 0.111 1
O5 O 0.131 0.014 0.889 1
O6 O 0.159 0.163 0.717 1
O7 O 0.173 0.002 0.182 1
O8 O 0.186 0.699 0.844 1
O9 O 0.192 0.409 0.496 1
O10 O 0.241 0.570 0.318 1
O11 O 0.252 0.923 0.682 1
O12 O 0.264 0.881 0.389 1
O13 O 0.320 0.502 0.829 1
O14 O 0.322 0.322 0.000 1
O15 O 0.324 0.657 0.654 1
O16 O 0.355 0.199 0.513 1
O17 O 0.407 0.253 0.832 1
O18 O 0.413 0.909 0.217 1
O19 O 0.421 0.574 0.168 1
O20 O 0.446 0.442 0.283 1
O21 O 0.449 0.105 0.013 1
O22 O 0.493 0.875 0.611 1
O23 O 0.503 0.157 0.332 1
O24 O 0.572 0.072 0.500 1
O25 O 0.592 0.605 0.656 1
O26 O 0.625 0.514 0.883 1
O27 O 0.631 0.743 0.117 1
O28 O 0.659 0.942 0.996 1
O29 O 0.673 0.491 0.171 1
O30 O 0.686 0.842 0.487 1
O31 O 0.692 0.196 0.783 1
O32 O 0.741 0.423 0.671 1
O33 O 0.752 0.070 0.329 1
O34 O 0.764 0.375 0.383 1
O35 O 0.820 0.991 0.818 1
O36 O 0.822 0.822 0.000 1
O37 O 0.824 0.171 0.668 1
O38 O 0.855 0.342 0.156 1
O39 O 0.907 0.074 0.154 1
O40 O 0.913 0.696 0.504 1
O41 O 0.921 0.753 0.846 1
O42 O 0.946 0.663 0.004 1
O43 O 0.949 0.936 0.344 1
O44 O 0.993 0.381 0.617 1
```

Most intense lines, 5 to 70 degrees two-theta, most intense first:
20.51 deg, rel. 1000
14.83 deg, rel. 977
27.55 deg, rel. 964
23.55 deg, rel. 648
28.39 deg, rel. 414
54.58 deg, rel. 296
45.57 deg, rel. 263
49.75 deg, rel. 201
34.92 deg, rel. 177
18.04 deg, rel. 174